# 1
Diffraction record for Na2BiP2Pd5. The PXRD pattern is calculated, not measured: it uses a GGA-PBE-relaxed structure and CuKα.
No peak broadening, texture or thermal motion is included.

Structural model:
```
data_Na2BiP2Pd5
_chemical_formula_sum 'Na4 Bi2 P4 Pd10'
_cell_length_a 10.4786
_cell_length_b 10.4786
_cell_length_c 3.3628
_cell_angle_alpha 90.00
_cell_angle_beta 90.00
_cell_angle_gamma 90.00
_symmetry_space_group_name_H-M 'P 4/m b m'
_symmetry_Int_Tables_number 127
_symmetry_space_group_name_Hall '-P 4 2ab'
loop_
_atom_site_label
_atom_site_type_symbol
_atom_site_fract_x
_atom_site_fract_y
_atom_site_fract_z
_atom_site_occupancy
Na1 Na 0.1756 0.3244 0.0000 1
Bi1 Bi 0.0000 0.0000 0.0000 1
P1 P 0.1224 0.6224 0.0000 1
Pd1 Pd 0.0000 0.5000 0.5000 1
Pd2 Pd 0.0713 0.7734 0.5000 1
```

Largest 10 diffraction maxima, in order of falling intensity, 15 to 90 degrees two-theta:
| 2θ/deg | d [Å] | Rel. int. | (hkl) |
| --- | --- | --- | --- |
| 38.1 | 2.360 | 100.0 | 3 1 1 |
| 38.4 | 2.343 | 57.7 | 4 2 0 |
| 16.9 | 5.239 | 43.3 | 2 0 0 |
| 36.1 | 2.490 | 41.8 | 2 2 1 |
| 18.9 | 4.686 | 35.1 | 2 1 0 |
| 35.3 | 2.541 | 29.4 | 4 1 0 |
| 69.3 | 1.356 | 29.3 | 7 1 1 |
| 41.0 | 2.199 | 29.0 | 3 2 1 |
| 29.2 | 3.062 | 24.0 | 1 1 1 |
| 34.2 | 2.620 | 23.7 | 4 0 0 |

***

# 2
Diffraction record for Ho5Tm4Tl4. The PXRD pattern is calculated, not measured: it uses a GGA-PBE-relaxed structure and CuKα.
No peak broadening, texture or thermal motion is included.

Structural model:
```
data_Ho5Tm4Tl4
_chemical_formula_sum 'Ho10 Tm8 Tl8'
_cell_length_a 12.1659
_cell_length_b 12.1659
_cell_length_c 5.0223
_cell_angle_alpha 90.00
_cell_angle_beta 90.00
_cell_angle_gamma 90.00
_symmetry_space_group_name_H-M 'I 4/m'
_symmetry_Int_Tables_number 87
_symmetry_space_group_name_Hall '-I 4'
loop_
_atom_site_label
_atom_site_type_symbol
_atom_site_fract_x
_atom_site_fract_y
_atom_site_fract_z
_atom_site_occupancy
Ho1 Ho 0.0000 0.0000 0.0000 1
Ho2 Ho 0.1001 0.1869 0.5000 1
Tm1 Tm 0.0961 0.3972 0.0000 1
Tl1 Tl 0.1034 0.7643 0.0000 1
```

Largest 10 diffraction maxima, in order of falling intensity, 15 to 90 degrees two-theta:
| 2θ/deg | d [Å] | Rel. int. | (hkl) |
| --- | --- | --- | --- |
| 32.0 | 2.801 | 100.0 | 3 2 1 |
| 35.8 | 2.511 | 24.1 | 0 0 2 |
| 35.3 | 2.544 | 16.5 | 4 1 1 |
| 37.7 | 2.386 | 15.9 | 1 5 0 |
| 61.9 | 1.500 | 15.3 | 3 2 3 |
| 52.9 | 1.730 | 12.1 | 1 5 2 |
| 32.9 | 2.720 | 9.8 | 2 4 0 |
| 68.5 | 1.370 | 9.5 | 3 8 1 |
| 65.8 | 1.419 | 7.0 | 5 5 2 |
| 58.2 | 1.586 | 6.9 | 2 7 1 |

***

Copy entry 1 word for word.
Diffraction record for Na2BiP2Pd5. The PXRD pattern is calculated, not measured: it uses a GGA-PBE-relaxed structure and CuKα.
No peak broadening, texture or thermal motion is included.

Structural model:
```
data_Na2BiP2Pd5
_chemical_formula_sum 'Na4 Bi2 P4 Pd10'
_cell_length_a 10.4786
_cell_length_b 10.4786
_cell_length_c 3.3628
_cell_angle_alpha 90.00
_cell_angle_beta 90.00
_cell_angle_gamma 90.00
_symmetry_space_group_name_H-M 'P 4/m b m'
_symmetry_Int_Tables_number 127
_symmetry_space_group_name_Hall '-P 4 2ab'
loop_
_atom_site_label
_atom_site_type_symbol
_atom_site_fract_x
_atom_site_fract_y
_atom_site_fract_z
_atom_site_occupancy
Na1 Na 0.1756 0.3244 0.0000 1
Bi1 Bi 0.0000 0.0000 0.0000 1
P1 P 0.1224 0.6224 0.0000 1
Pd1 Pd 0.0000 0.5000 0.5000 1
Pd2 Pd 0.0713 0.7734 0.5000 1
```

Largest 10 diffraction maxima, in order of falling intensity, 15 to 90 degrees two-theta:
| 2θ/deg | d [Å] | Rel. int. | (hkl) |
| --- | --- | --- | --- |
| 38.1 | 2.360 | 100.0 | 3 1 1 |
| 38.4 | 2.343 | 57.7 | 4 2 0 |
| 16.9 | 5.239 | 43.3 | 2 0 0 |
| 36.1 | 2.490 | 41.8 | 2 2 1 |
| 18.9 | 4.686 | 35.1 | 2 1 0 |
| 35.3 | 2.541 | 29.4 | 4 1 0 |
| 69.3 | 1.356 | 29.3 | 7 1 1 |
| 41.0 | 2.199 | 29.0 | 3 2 1 |
| 29.2 | 3.062 | 24.0 | 1 1 1 |
| 34.2 | 2.620 | 23.7 | 4 0 0 |